Theoretical XRD peak list of TlCr3S5 for Cu Kα, from a DFT-relaxed cell (GGA-PBE, the Materials Project).
Lines closer than 0.1° are merged.

The 10 most intense peaks (2θ from 10° to 80°), sorted by position:
- 2θ = 21.5°, rel. 72
- 2θ = 22.3°, rel. 45
- 2θ = 23.4°, rel. 60
- 2θ = 28.3°, rel. 50
- 2θ = 30.2°, rel. 49
- 2θ = 32.7°, rel. 44
- 2θ = 33.0°, rel. 100
- 2θ = 33.8°, rel. 48
- 2θ = 34.5°, rel. 75
- 2θ = 41.5°, rel. 64

Cell and atoms:
a b c (Å): 9.913 9.913 12.090
angles (deg): 121.62 121.62 20.40
Positions (direct):
Tl 0.239 0.239 0.326
Tl 0.761 0.761 0.674
Cr 0.000 0.000 0.000
Cr 0.000 0.000 0.500
Cr 0.336 0.336 0.112
Cr 0.484 0.484 0.727
Cr 0.516 0.516 0.273
Cr 0.664 0.664 0.888
S 0.076 0.076 0.893
S 0.090 0.090 0.417
S 0.244 0.244 0.882
S 0.420 0.420 0.848
S 0.424 0.424 0.349
S 0.576 0.576 0.651
S 0.580 0.580 0.152
S 0.756 0.756 0.118
S 0.910 0.910 0.583
S 0.924 0.924 0.107


Theoretical XRD peak list of HfTe3Se8 for Cu Kα, from a DFT-relaxed cell (GGA-PBE, the Materials Project).
Lines closer than 0.1° are merged.

The 10 most intense peaks (2θ from 10° to 80°), sorted by position:
- 2θ = 12.7°, rel. 57
- 2θ = 18.8°, rel. 69
- 2θ = 19.0°, rel. 40
- 2θ = 19.8°, rel. 66
- 2θ = 22.1°, rel. 75
- 2θ = 24.9°, rel. 52
- 2θ = 25.4°, rel. 49
- 2θ = 33.8°, rel. 73
- 2θ = 36.7°, rel. 41
- 2θ = 40.7°, rel. 100

Cell and atoms:
a b c (Å): 7.271 8.054 13.241
angles (deg): 96.23 99.13 102.40
Positions (direct):
Hf 0.102 0.257 0.498
Hf 0.898 0.743 0.502
Te 0.062 0.173 0.893
Te 0.071 0.637 0.782
Te 0.489 0.959 0.317
Te 0.511 0.041 0.683
Te 0.929 0.363 0.218
Te 0.938 0.827 0.107
Se 0.156 0.189 0.093
Se 0.190 0.591 0.596
Se 0.216 0.951 0.481
Se 0.252 0.292 0.338
Se 0.266 0.731 0.154
Se 0.269 0.496 0.929
Se 0.361 0.912 0.843
Se 0.375 0.313 0.668
Se 0.625 0.687 0.332
Se 0.639 0.088 0.157
Se 0.731 0.504 0.071
Se 0.734 0.269 0.846
Se 0.748 0.708 0.662
Se 0.784 0.049 0.519
Se 0.810 0.409 0.404
Se 0.844 0.811 0.907


Theoretical XRD peak list of Li3H3N2 for Cu Kα, from a DFT-relaxed cell (GGA-PBE, the Materials Project).
Lines closer than 0.1° are merged.

The 10 most intense peaks (2θ from 10° to 80°), sorted by position:
- 2θ = 17.2°, rel. 11
- 2θ = 29.1°, rel. 56
- 2θ = 30.1°, rel. 62
- 2θ = 31.2°, rel. 100
- 2θ = 35.4°, rel. 19
- 2θ = 48.9°, rel. 17
- 2θ = 50.0°, rel. 41
- 2θ = 51.1°, rel. 21
- 2θ = 52.9°, rel. 17
- 2θ = 58.6°, rel. 21

Cell and atoms:
a b c (Å): 3.729 3.460 5.143
angles (deg): 90.00 91.83 90.00
Positions (direct):
Li 0.000 0.000 0.000
Li 0.150 0.000 0.558
Li 0.504 0.500 0.922
H 0.581 0.229 0.332
H 0.581 0.771 0.332
H 0.843 0.500 0.606
N 0.021 0.500 0.766
N 0.491 0.000 0.218


Theoretical XRD peak list of Ir2C3N6 for Cu Kα, from a DFT-relaxed cell (GGA-PBE, the Materials Project).
Lines closer than 0.1° are merged.

The 10 most intense peaks (2θ from 10° to 80°), sorted by position:
- 2θ = 10.8°, rel. 100
- 2θ = 17.6°, rel. 38
- 2θ = 19.2°, rel. 67
- 2θ = 32.1°, rel. 25
- 2θ = 32.6°, rel. 29
- 2θ = 33.8°, rel. 56
- 2θ = 39.0°, rel. 29
- 2θ = 41.2°, rel. 22
- 2θ = 45.3°, rel. 21
- 2θ = 56.9°, rel. 18

Cell and atoms:
a b c (Å): 8.484 8.484 5.095
angles (deg): 98.65 98.65 22.05
Positions (direct):
Ir 0.170 0.170 0.350
Ir 0.830 0.830 0.650
C 0.000 0.000 0.500
C 0.325 0.325 0.147
C 0.675 0.675 0.853
N 0.052 0.052 0.355
N 0.301 0.301 0.374
N 0.337 0.337 0.918
N 0.663 0.663 0.082
N 0.699 0.699 0.626
N 0.948 0.948 0.645


Theoretical XRD peak list of Ga40Mo8C for Cu Kα, from a DFT-relaxed cell (GGA-PBE, the Materials Project).
Lines closer than 0.1° are merged.

The 10 most intense peaks (2θ from 10° to 80°), sorted by position:
- 2θ = 21.5°, rel. 31
- 2θ = 31.0°, rel. 34
- 2θ = 35.5°, rel. 26
- 2θ = 38.3°, rel. 44
- 2θ = 39.8°, rel. 60
- 2θ = 40.1°, rel. 53
- 2θ = 41.9°, rel. 100
- 2θ = 42.6°, rel. 26
- 2θ = 43.9°, rel. 67
- 2θ = 44.9°, rel. 54

Cell and atoms:
a b c (Å): 9.557 9.557 9.557
angles (deg): 94.10 94.10 94.10
Positions (direct):
Ga 0.000 0.000 0.000
Ga 0.000 0.000 0.500
Ga 0.000 0.500 0.000
Ga 0.031 0.173 0.279
Ga 0.049 0.723 0.425
Ga 0.100 0.468 0.285
Ga 0.110 0.764 0.134
Ga 0.134 0.110 0.764
Ga 0.173 0.279 0.031
Ga 0.181 0.626 0.677
Ga 0.236 0.866 0.890
Ga 0.274 0.390 0.550
Ga 0.277 0.575 0.951
Ga 0.279 0.031 0.173
Ga 0.285 0.100 0.468
Ga 0.323 0.819 0.374
Ga 0.374 0.323 0.819
Ga 0.390 0.550 0.274
Ga 0.425 0.049 0.723
Ga 0.450 0.726 0.610
Ga 0.468 0.285 0.100
Ga 0.500 0.000 0.000
Ga 0.532 0.715 0.900
Ga 0.550 0.274 0.390
Ga 0.575 0.951 0.277
Ga 0.610 0.450 0.726
Ga 0.626 0.677 0.181
Ga 0.677 0.181 0.626
Ga 0.715 0.900 0.532
Ga 0.721 0.969 0.827
Ga 0.723 0.425 0.049
Ga 0.726 0.610 0.450
Ga 0.764 0.134 0.110
Ga 0.819 0.374 0.323
Ga 0.827 0.721 0.969
Ga 0.866 0.890 0.236
Ga 0.890 0.236 0.866
Ga 0.900 0.532 0.715
Ga 0.951 0.277 0.575
Ga 0.969 0.827 0.721
Mo 0.115 0.392 0.784
Mo 0.216 0.885 0.608
Mo 0.289 0.289 0.289
Mo 0.392 0.784 0.115
Mo 0.608 0.216 0.885
Mo 0.711 0.711 0.711
Mo 0.784 0.115 0.392
Mo 0.885 0.608 0.216
C 0.500 0.500 0.500


Theoretical XRD peak list of SrZrO3 for Cu Kα, from a DFT-relaxed cell (GGA-PBE, the Materials Project).
Lines closer than 0.1° are merged.

The 10 most intense peaks (2θ from 10° to 80°), sorted by position:
- 2θ = 30.3°, rel. 100
- 2θ = 30.6°, rel. 57
- 2θ = 42.8°, rel. 19
- 2θ = 43.9°, rel. 32
- 2θ = 53.6°, rel. 23
- 2θ = 54.2°, rel. 46
- 2θ = 63.0°, rel. 20
- 2θ = 70.7°, rel. 9
- 2θ = 72.4°, rel. 11
- 2θ = 79.9°, rel. 9

Cell and atoms:
a b c (Å): 5.906 5.906 5.906
angles (deg): 120.77 120.77 88.67
Positions (direct):
Sr 0.250 0.750 0.500
Sr 0.750 0.250 0.500
Zr 0.000 0.000 0.000
Zr 0.500 0.500 0.000
O 0.190 0.690 0.881
O 0.250 0.250 0.000
O 0.310 0.190 0.500
O 0.690 0.810 0.500
O 0.750 0.750 0.000
O 0.810 0.310 0.119